Starting from a cell relaxed with GGA-PBE, the powder X-ray diffraction pattern of Pm2Dy4Tm7 was computed for λ = 1.5418 Å (Cu Kα).
Intensities are scaled so that the largest is 1000.

Largest 10 diffraction maxima, in order of rising 2θ, 5° ≤ 2θ ≤ 70°:
2θ/deg, d_spacing, I (rel.)
26.75, 3.333, 191
30.51, 2.930, 489
32.71, 2.738, 1000
33.61, 2.666, 156
36.10, 2.488, 327
40.43, 2.231, 150
51.14, 1.786, 190
52.80, 1.734, 304
63.51, 1.465, 146
63.89, 1.457, 146

Cell and atoms:
```
Pm2Dy4Tm7
1.0
6.0058 0.0000 0.0000
-3.0029 5.2012 0.0000
0.0000 0.0000 13.3310
Pm Dy Tm
2 4 7
Direct
0.3333 0.6667 0.0000
0.6667 0.3333 0.0000
0.0000 0.0000 0.3949
0.0000 0.0000 0.6051
0.3333 0.6667 0.5000
0.6667 0.3333 0.5000
0.0000 0.0000 0.0000
0.0000 0.3485 0.2142
0.0000 0.6515 0.7858
0.3485 0.0000 0.2142
0.3485 0.3485 0.7858
0.6515 0.0000 0.7858
0.6515 0.6515 0.2142
```

Starting from a cell relaxed with GGA-PBE, the powder X-ray diffraction pattern of Pm6Dy3Tm2 was computed for λ = 1.5418 Å (Cu Kα).
Intensities are scaled so that the largest is 1000.

Largest 9 diffraction maxima, in order of rising 2θ, 5° ≤ 2θ ≤ 70°:
2θ/deg, d_spacing, I (rel.)
30.49, 2.932, 1000
30.65, 2.917, 328
35.39, 2.536, 672
50.82, 1.797, 242
51.03, 1.790, 238
60.49, 1.531, 429
60.70, 1.526, 141
63.45, 1.466, 124
63.81, 1.459, 40

Cell and atoms:
```
Pm6Dy3Tm2
1.0
1.7967 1.0373 32.0909
-1.7967 1.0373 32.0909
0.0000 -2.0746 32.0909
Pm Dy Tm
6 3 2
Direct
0.0911 0.0911 0.0911
0.1823 0.1823 0.1823
0.3637 0.3637 0.3637
0.6363 0.6363 0.6363
0.8177 0.8177 0.8177
0.9089 0.9089 0.9089
0.0000 0.0000 0.0000
0.2726 0.2726 0.2726
0.7274 0.7274 0.7274
0.4543 0.4543 0.4543
0.5457 0.5457 0.5457
```